# 1
# NiH15IO12
Computed XRD peak list, Cu Kα, 1.54184 Å. Input: a GGA+U-relaxed structure.
Kinematic intensities with the Lorentz-polarization factor, no thermal factor.

Crystal structure
```
NiH15IO12
1.0
5.6149 0.0000 0.0000
0.0000 10.5818 0.0000
-4.5367 0.0000 9.7674
Ni H I O
2 30 2 24
direct
0.0000 0.1834 0.0000
0.0000 0.8166 0.5000
0.2102 0.1990 0.6454
0.2102 0.8010 0.1454
0.2106 0.4026 0.9499
0.2106 0.5974 0.4499
0.2271 0.0538 0.1929
0.2271 0.9462 0.6929
0.3326 0.3782 0.4656
0.3326 0.6218 0.9656
0.3871 0.3724 0.7509
0.3871 0.6276 0.2509
0.4149 0.3302 0.0855
0.4149 0.6698 0.5855
0.4865 0.1679 0.4363
0.4865 0.8321 0.9363
0.5934 0.4459 0.2547
0.5934 0.5541 0.7547
0.6350 0.1163 0.0693
0.6350 0.8837 0.5693
0.6739 0.0027 0.4818
0.6739 0.9973 0.9818
0.6750 0.3739 0.8716
0.6750 0.6261 0.3716
0.7878 0.1163 0.7379
0.7878 0.8837 0.2379
0.8345 0.3696 0.6997
0.8345 0.6304 0.1997
0.9445 0.0028 0.3239
0.9445 0.9972 0.8239
0.9839 0.4849 0.6796
0.9839 0.5151 0.1796
0.9023 0.2712 0.4081
0.9023 0.7288 0.9081
0.1637 0.4028 0.3921
0.1637 0.5972 0.8921
0.2276 0.1902 0.5592
0.2276 0.8098 0.0592
0.2768 0.1005 0.1289
0.2768 0.8995 0.6289
0.2790 0.3178 0.9851
0.2790 0.6822 0.4851
0.5704 0.3933 0.7718
0.5704 0.6067 0.2718
0.6174 0.3559 0.2328
0.6174 0.6441 0.7328
0.6697 0.1403 0.4708
0.6697 0.8597 0.9708
0.6801 0.0961 0.9930
0.6801 0.9039 0.4930
0.8944 0.3374 0.0290
0.8944 0.6626 0.5290
0.9419 0.1545 0.2953
0.9419 0.8455 0.7953
0.9446 0.0941 0.8203
0.9446 0.9059 0.3203
0.9778 0.3922 0.6737
0.9778 0.6078 0.1737
```

The 12 most intense peaks (10° ≤ 2θ ≤ 90°), sorted by position:
Position (°2θ)	intensity
12.3	667
16.8	768
17.4	1000
18.2	623
19.1	946
24.3	484
24.8	489
25.6	580
26.9	427
28.7	366
37.6	252
39.6	237

***

# 2
# MoO4
Computed XRD peak list, Cu Kα, 1.54184 Å. Input: a GGA+U-relaxed structure.
Kinematic intensities with the Lorentz-polarization factor, no thermal factor.

Crystal structure
```
MoO4
1.0
3.7266 -5.4408 0.0000
3.7266 5.4408 0.0000
-3.3993 0.0000 3.7182
Mo O
2 8
direct
0.1213 0.8787 0.7500
0.8787 0.1213 0.2500
0.0667 0.6302 0.8322
0.1985 0.2485 0.6539
0.2485 0.1985 0.1539
0.3698 0.9333 0.6678
0.6302 0.0667 0.3322
0.7514 0.8015 0.8461
0.8015 0.7515 0.3461
0.9333 0.3698 0.1678
```

The 12 most intense peaks (10° ≤ 2θ ≤ 90°), sorted by position:
Position (°2θ)	intensity
18.1	1000
19.4	699
29.1	927
29.5	225
30.4	252
38.2	222
40.3	176
45.1	151
47.0	289
49.0	166
49.3	184
56.0	128

***

# 3
# MgMnSb2O6
Computed XRD peak list, Cu Kα, 1.54184 Å. Input: a GGA+U-relaxed structure.
Kinematic intensities with the Lorentz-polarization factor, no thermal factor.

Crystal structure
```
MgMnSb2O6
1.0
5.4299 0.0000 0.0000
-0.3143 5.5636 0.0000
-2.0175 -2.4329 4.6210
Mg Mn Sb O
1 1 2 6
direct
0.0000 0.0000 0.0000
0.2063 0.5942 0.4726
0.5427 0.3757 0.9414
0.5975 0.0115 0.3052
0.3096 0.8844 0.8859
0.3333 0.2255 0.3855
0.4370 0.6729 0.2852
0.8149 0.2917 0.2553
0.8157 0.1639 0.7327
0.8196 0.7578 0.1243
```

The 12 most intense peaks (10° ≤ 2θ ≤ 90°), sorted by position:
Position (°2θ)	intensity
18.0	1000
19.2	431
23.8	452
28.6	261
29.0	500
30.1	491
32.3	414
32.7	297
33.3	232
34.3	266
37.5	239
38.2	215

***

# 4
# KEuHfFeO6
Computed XRD peak list, Cu Kα, 1.54184 Å. Input: a GGA+U-relaxed structure.
Kinematic intensities with the Lorentz-polarization factor, no thermal factor.

Crystal structure
```
KEuHfFeO6
1.0
0.0000 4.0024 4.0024
4.0024 0.0000 4.0024
4.0024 4.0024 0.0000
K Eu Hf Fe O
1 1 1 1 6
direct
0.0000 0.0000 0.0000
0.5000 0.5000 0.5000
0.2500 0.2500 0.2500
0.7500 0.7500 0.7500
0.5073 0.5073 0.9927
0.5073 0.9927 0.5073
0.5073 0.9927 0.9927
0.9927 0.5073 0.5073
0.9927 0.5073 0.9927
0.9927 0.9927 0.5073
```

The 12 most intense peaks (10° ≤ 2θ ≤ 90°), sorted by position:
Position (°2θ)	intensity
19.2	344
22.2	47
31.6	1000
37.3	220
45.3	316
49.6	105
56.3	389
60.1	75
66.0	189
69.5	74
75.0	168
83.7	63

***

# 5
# LiFeP3O9
Computed XRD peak list, Cu Kα, 1.54184 Å. Input: a GGA+U-relaxed structure.
Kinematic intensities with the Lorentz-polarization factor, no thermal factor.

Crystal structure
```
LiFeP3O9
1.0
6.8058 0.0000 0.0000
0.6561 7.0431 0.0000
1.6413 0.6194 7.1959
Li Fe P O
2 2 6 18
direct
0.0713 0.2749 0.1299
0.9287 0.7251 0.8701
0.4395 0.8538 0.8487
0.5605 0.1462 0.1513
0.1519 0.7023 0.2229
0.2274 0.1519 0.5490
0.4160 0.3802 0.7777
0.5840 0.6198 0.2223
0.7726 0.8481 0.4510
0.8481 0.2977 0.7771
0.0083 0.7795 0.4095
0.0649 0.5343 0.1737
0.1969 0.8666 0.0744
0.2591 0.9714 0.6676
0.2867 0.1510 0.3400
0.3330 0.3256 0.6046
0.3461 0.6443 0.3111
0.3579 0.5856 0.8042
0.3627 0.2313 0.9419
0.6373 0.7687 0.0581
0.6421 0.4144 0.1958
0.6539 0.3557 0.6889
0.6670 0.6744 0.3954
0.7133 0.8490 0.6600
0.7409 0.0286 0.3324
0.8031 0.1334 0.9256
0.9351 0.4657 0.8263
0.9917 0.2205 0.5905
```

The 12 most intense peaks (10° ≤ 2θ ≤ 90°), sorted by position:
Position (°2θ)	intensity
13.4	780
18.4	288
19.2	481
20.1	235
21.8	693
24.7	241
27.3	396
28.4	1000
28.8	382
29.3	382
32.1	725
32.6	457

***

# 6
# LiMn8O16
Computed XRD peak list, Cu Kα, 1.54184 Å. Input: a GGA+U-relaxed structure.
Kinematic intensities with the Lorentz-polarization factor, no thermal factor.

Crystal structure
```
LiMn8O16
1.0
5.8650 0.0000 0.0000
0.0000 5.8650 0.0000
0.0000 0.0000 8.2600
Li Mn O
1 8 16
direct
0.0000 0.0000 0.0000
0.0000 0.2509 0.6233
0.0000 0.7491 0.6233
0.2509 0.0000 0.3767
0.2525 0.5000 0.8741
0.5000 0.2525 0.1259
0.5000 0.7475 0.1259
0.7475 0.5000 0.8741
0.7491 0.0000 0.3767
0.0000 0.2200 0.3888
0.0000 0.2757 0.8608
0.0000 0.7243 0.8608
0.0000 0.7800 0.3888
0.2200 0.0000 0.6112
0.2201 0.5000 0.6390
0.2757 0.0000 0.1392
0.2766 0.5000 0.1098
0.5000 0.2201 0.3610
0.5000 0.2766 0.8902
0.5000 0.7234 0.8902
0.5000 0.7799 0.3610
0.7234 0.5000 0.1098
0.7243 0.0000 0.1392
0.7800 0.0000 0.6112
0.7799 0.5000 0.6390
```

The 12 most intense peaks (10° ≤ 2θ ≤ 90°), sorted by position:
Position (°2θ)	intensity
18.6	1000
35.9	248
36.0	122
37.6	92
43.7	343
43.8	168
47.9	96
57.8	116
63.4	92
63.6	182
66.8	90
80.3	78